[1]
Starting from the GGA-PBE geometry in Alexandria, the powder XRD pattern of Na2Sr2Mg was computed for λ = 1.5418 Å (Cu Kα).
Kinematic intensities with the Lorentz-polarization factor, no thermal factor.

Structural model:
a b c (Å): 4.1946 4.1946 22.8972
angles (deg): 90.00 90.00 90.00
Space group I4/mmm (No. 139)
One atom of each set of equivalent atoms:
Na1 0.0000 0.0000 0.2057 (multiplicity 4)
Sr1 0.0000 0.0000 0.4096 (multiplicity 4)
Mg1 0.0000 0.0000 0.0000 (multiplicity 2)

The 6 most intense peaks (10° ≤ 2θ ≤ 90°), by angle:
| index | d [Å] | intensity |
| --- | --- | --- |
| 1 0 1 | 4.126 | 41 |
| 1 0 5 | 3.093 | 100 |
| 1 1 0 | 2.966 | 48 |
| 2 0 0 | 2.097 | 18 |
| 1 1 10 | 1.812 | 16 |
| 2 1 5 | 1.736 | 36 |

=====

[2]
Starting from the GGA-PBE geometry in Alexandria, the powder XRD pattern of NaSr2Mg16 was computed for λ = 1.5418 Å (Cu Kα).
Kinematic intensities with the Lorentz-polarization factor, no thermal factor.

Structural model:
a b c (Å): 10.6085 10.6085 15.4780
angles (deg): 90.00 90.00 120.00
Space group R3m (No. 160, hexagonal axes)
One atom of each set of equivalent atoms:
Na1 0.0000 0.0000 0.0000 (multiplicity 3)
Sr1 0.0000 0.0000 0.4360 (multiplicity 3)
Sr2 0.0000 0.0000 0.7565 (multiplicity 3)
Mg1 0.0000 0.0000 0.2017 (multiplicity 3)
Mg2 0.0000 0.3010 0.0991 (multiplicity 18)
Mg3 0.0007 0.5003 0.9449 (multiplicity 9)
Mg4 0.0087 0.5044 0.2521 (multiplicity 9)
Mg5 0.1694 0.3388 0.9321 (multiplicity 9)

The 6 most intense peaks (10° ≤ 2θ ≤ 90°), by angle:
| index | d [Å] | intensity |
| --- | --- | --- |
| 1 1 3 | 3.698 | 46 |
| 3 0 0 | 3.062 | 45 |
| 2 2 0 | 2.652 | 56 |
| 0 3 3 | 2.633 | 100 |
| 0 0 6 | 2.581 | 46 |
| 2 2 6 | 1.850 | 27 |

=====

[3]
Starting from the GGA-PBE geometry in Alexandria, the powder XRD pattern of NaTb2Mg was computed for λ = 1.5418 Å (Cu Kα).
Kinematic intensities with the Lorentz-polarization factor, no thermal factor.

Structural model:
a b c (Å): 3.7749 3.7749 8.5461
angles (deg): 90.00 90.00 90.00
Space group P4/mmm (No. 123)
One atom of each set of equivalent atoms:
Na1 0.0000 0.0000 0.0000 (multiplicity 1)
Tb1 0.5000 0.5000 0.2877 (multiplicity 2)
Mg1 0.0000 0.0000 0.5000 (multiplicity 1)

The 6 most intense peaks (10° ≤ 2θ ≤ 90°), by angle:
| index | d [Å] | intensity |
| --- | --- | --- |
| 0 0 2 | 4.273 | 34 |
| 1 0 0 | 3.775 | 67 |
| 1 0 2 | 2.829 | 100 |
| 1 1 0 | 2.669 | 52 |
| 1 1 2 | 2.264 | 26 |
| 2 1 2 | 1.570 | 34 |

=====

[4]
Starting from the GGA-PBE geometry in Alexandria, the powder XRD pattern of Na2Mg3Tl6 was computed for λ = 1.5418 Å (Cu Kα).
Kinematic intensities with the Lorentz-polarization factor, no thermal factor.

Structural model:
a b c (Å): 3.5337 3.5337 82.5654
angles (deg): 90.00 90.00 120.00
Space group R-3m (No. 166, hexagonal axes)
One atom of each set of equivalent atoms:
Na1 0.0000 0.0000 0.0479 (multiplicity 6)
Mg1 0.0000 0.0000 0.2247 (multiplicity 6)
Mg2 0.0000 0.0000 0.5000 (multiplicity 3)
Tl1 0.0000 0.0000 0.1377 (multiplicity 6)
Tl2 0.0000 0.0000 0.3172 (multiplicity 6)
Tl3 0.0000 0.0000 0.4129 (multiplicity 6)

The 6 most intense peaks (10° ≤ 2θ ≤ 90°), by angle:
| index | d [Å] | intensity |
| --- | --- | --- |
| 0 0 18 | 4.587 | 36 |
| 1 0 7 | 2.962 | 30 |
| 0 1 11 | 2.834 | 100 |
| 0 0 33 | 2.502 | 24 |
| 1 0 22 | 2.372 | 57 |
| 1 1 0 | 1.767 | 26 |